(1)
Simulated powder diffraction line list
Compound: Li4FeN2
Radiation: Cu Kα, 1.54184 Å
Structure: the GGA-PBE geometry in the Materials Project

Main lines, sorted by position (5° ≤ 2θ ≤ 70°):
two_theta, intensity
17.75, 100
27.04, 35
28.22, 23
28.49, 44
35.97, 16
36.17, 15
39.48, 24
44.43, 18
50.12, 15
53.67, 10

Atomic structure:
```
Li4FeN2
1.0
-1.803 3.163 4.074
1.803 -3.163 4.074
1.803 3.163 -4.074
Li Fe N
4 1 2
direct
0.083 0.248 0.834
0.414 0.248 0.166
0.586 0.752 0.834
0.917 0.752 0.166
0.000 0.500 0.500
0.223 0.723 0.500
0.777 0.277 0.500
```

(2)
Simulated powder diffraction line list
Compound: VCo3
Radiation: Cu Kα, 1.54184 Å
Structure: the GGA-PBE geometry in the Materials Project

Main lines, sorted by position (5° ≤ 2θ ≤ 70°):
two_theta, intensity
21.87, 1
25.34, 2
42.59, 36
42.75, 1
44.60, 92
44.80, 61
47.80, 100
52.03, 58
57.14, 13
69.58, 8

Atomic structure:
```
VCo3
1.0
4.979 0.000 0.000
-2.490 4.312 0.000
0.000 0.000 12.137
V Co
6 18
direct
0.000 0.000 0.250
0.000 0.000 0.750
0.333 0.667 0.089
0.333 0.667 0.411
0.667 0.333 0.589
0.667 0.333 0.911
0.009 0.505 0.750
0.166 0.332 0.583
0.166 0.332 0.917
0.166 0.834 0.583
0.166 0.834 0.917
0.332 0.166 0.083
0.332 0.166 0.417
0.495 0.505 0.750
0.495 0.991 0.750
0.505 0.009 0.250
0.505 0.495 0.250
0.668 0.834 0.583
0.668 0.834 0.917
0.834 0.166 0.083
0.834 0.166 0.417
0.834 0.668 0.083
0.834 0.668 0.417
0.991 0.495 0.250
```

(3)
Simulated powder diffraction line list
Compound: CePrFe4
Radiation: Cu Kα, 1.54184 Å
Structure: the GGA-PBE geometry in the Materials Project

Main lines, sorted by position (5° ≤ 2θ ≤ 70°):
two_theta, intensity
20.80, 11
34.29, 62
40.44, 100
42.33, 16
54.04, 3
61.40, 23
65.58, 30

Atomic structure:
```
CePrFe4
1.0
0.000 3.699 3.699
3.699 0.000 3.699
3.699 3.699 0.000
Ce Pr Fe
1 1 4
direct
0.000 0.000 0.000
0.250 0.250 0.250
0.124 0.625 0.625
0.625 0.124 0.625
0.625 0.625 0.124
0.625 0.625 0.625
```

(4)
Simulated powder diffraction line list
Compound: Na3TaGaSi2PO12
Radiation: Cu Kα, 1.54184 Å
Structure: the GGA-PBE geometry in the Materials Project

Main lines, sorted by position (5° ≤ 2θ ≤ 70°):
two_theta, intensity
13.85, 60
19.51, 50
19.72, 100
19.91, 79
27.91, 37
31.12, 37
31.24, 41
31.54, 49
34.53, 22
34.68, 41

Atomic structure:
```
Na3TaGaSi2PO12
1.0
7.709 -4.490 0.000
7.709 4.490 0.000
-5.256 0.000 7.432
Na Ta Ga Si P O
6 2 2 4 2 24
direct
0.058 0.942 0.500
0.313 0.819 0.239
0.560 0.712 0.002
0.712 0.560 0.502
0.819 0.313 0.739
0.942 0.058 0.000
0.463 0.971 0.693
0.971 0.463 0.193
0.158 0.677 0.809
0.677 0.158 0.309
0.068 0.283 0.507
0.283 0.068 0.007
0.780 0.866 0.507
0.866 0.780 0.007
0.366 0.566 0.513
0.566 0.366 0.013
0.041 0.310 0.325
0.047 0.757 0.987
0.091 0.465 0.676
0.092 0.245 0.022
0.186 0.547 0.344
0.245 0.092 0.522
0.256 0.888 0.984
0.310 0.041 0.825
0.340 0.600 0.681
0.378 0.742 0.521
0.408 0.539 0.985
0.465 0.091 0.176
0.539 0.408 0.485
0.547 0.186 0.844
0.597 0.877 0.524
0.600 0.340 0.181
0.677 0.812 0.829
0.742 0.378 0.021
0.757 0.047 0.487
0.812 0.677 0.329
0.841 0.959 0.183
0.877 0.597 0.024
0.888 0.256 0.484
0.959 0.841 0.683
```